[1]
La2Pd12Au5: simulated powder XRD pattern (Cu Kα), based on a GGA-PBE-relaxed structure.
Intensities are scaled so that the largest is 100.

Structure:
a b c (Å): 9.3338 9.3338 13.8688
angles (deg): 90.00 90.00 120.00
Space group R-3m (No. 166, hexagonal axes)
Asymmetric unit:
1 La 0.0000 0.0000 0.1568
2 Pd 0.0000 0.3046 0.5000
3 Pd 0.0082 0.5041 0.6523
4 Au 0.0000 0.0000 0.4004
5 Au 0.0000 0.5000 0.0000

Principal peaks in the range 2θ from 10° to 90°, sorted by position:
12.7 deg, I 22
33.3 deg, I 20
38.6 deg, I 100
39.0 deg, I 19
39.4 deg, I 37
43.4 deg, I 51
43.7 deg, I 16
56.3 deg, I 9
69.8 deg, I 18
70.4 deg, I 25


[2]
LaPd2Au9: simulated powder XRD pattern (Cu Kα), based on a GGA-PBE-relaxed structure.
Intensities are scaled so that the largest is 100.

Structure:
a b c (Å): 11.316 11.316 7.353
angles (deg): 90.00 90.00 90.00
Space group I4_1/amd (No. 141, origin choice 2)
Asymmetric unit:
1 La 0.000 0.250 0.375
2 Pd 0.000 0.000 0.000
3 Au 0.000 0.250 0.875
4 Au 0.120 0.048 0.676

Principal peaks in the range 2θ from 10° to 90°, sorted by position:
35.0 deg, I 84
35.5 deg, I 59
37.5 deg, I 23
40.2 deg, I 18
40.9 deg, I 31
41.8 deg, I 100
43.4 deg, I 24
63.4 deg, I 29
68.0 deg, I 15
70.6 deg, I 15


[3]
La2Pd6Au: simulated powder XRD pattern (Cu Kα), based on a GGA-PBE-relaxed structure.
Intensities are scaled so that the largest is 100.

Structure:
a b c (Å): 5.7517 5.7517 6.3127
angles (deg): 90.00 90.00 120.00
Space group P-3m1 (No. 164)
Asymmetric unit:
1 La 0.3333 0.6667 0.3176
2 Pd 0.1744 0.3487 0.8278
3 Au 0.0000 0.0000 0.5000

Principal peaks in the range 2θ from 10° to 90°, sorted by position:
33.6 deg, I 47
34.3 deg, I 41
38.9 deg, I 100
46.4 deg, I 31
46.9 deg, I 16
57.0 deg, I 14
57.4 deg, I 11
64.8 deg, I 23
66.7 deg, I 18
78.2 deg, I 12


[4]
LaPd2Au3: simulated powder XRD pattern (Cu Kα), based on a GGA-PBE-relaxed structure.
Intensities are scaled so that the largest is 100.

Structure:
a b c (Å): 9.405 9.296 5.624
angles (deg): 90.00 90.00 90.00
Space group Cmcm (No. 63)
Asymmetric unit:
1 La 0.000 0.168 0.250
2 Pd 0.239 0.000 0.000
3 Au 0.000 0.496 0.750
4 Au 0.165 0.241 0.750

Principal peaks in the range 2θ from 10° to 90°, sorted by position:
30.4 deg, I 32
31.8 deg, I 31
34.1 deg, I 100
37.4 deg, I 35
38.7 deg, I 37
42.2 deg, I 61
43.1 deg, I 30
44.1 deg, I 32
44.6 deg, I 27
58.2 deg, I 24